For TaMnNiO6, a structure optimized by DFT (GGA+U) gives the calculated PXRD pattern in this record (Cu Kα (λ = 1.5418 Å)).
Intensities are scaled so that the largest is 100.

Principal peaks in the range 10° ≤ 2θ ≤ 80°, low angle first:
d_spacing	2theta	intensity
4.499	19.73	15
4.130	21.52	47
3.287	27.13	100
2.654	33.77	16
2.520	35.62	72
2.324	38.75	20
2.025	44.75	15
1.708	53.65	63
1.643	55.96	16
1.377	68.12	19

Atomic structure:
```
data_TaMnNiO6
_chemical_formula_sum 'Ta2 Mn2 Ni2 O12'
_cell_length_a 4.648
_cell_length_b 4.648
_cell_length_c 8.999
_cell_angle_alpha 90.00
_cell_angle_beta 90.00
_cell_angle_gamma 90.00
_space_group_name_H-M_alt 'P 1'
_space_group_IT_number 1
loop_
_space_group_symop_operation_xyz
'x,y,z'
loop_
_atom_site_label
_atom_site_type_symbol
_atom_site_fract_x
_atom_site_fract_y
_atom_site_fract_z
Ta1 Ta 0.000 0.000 0.000
Ta2 Ta 0.500 0.500 0.500
Mn1 Mn 0.000 0.000 0.334
Mn2 Mn 0.500 0.500 0.834
Ni1 Ni 0.000 0.000 0.668
Ni2 Ni 0.500 0.500 0.168
O1 O 0.190 0.190 0.172
O2 O 0.193 0.193 0.496
O3 O 0.206 0.206 0.840
O4 O 0.294 0.706 0.340
O5 O 0.307 0.693 0.996
O6 O 0.310 0.690 0.672
O7 O 0.690 0.310 0.672
O8 O 0.693 0.307 0.996
O9 O 0.706 0.294 0.340
O10 O 0.794 0.794 0.840
O11 O 0.807 0.807 0.496
O12 O 0.810 0.810 0.172
```

For MnTcNi2O6, a structure optimized by DFT (GGA+U) gives the calculated PXRD pattern in this record (Cu Kα (λ = 1.5418 Å)).
Intensities are scaled so that the largest is 100.

Principal peaks in the range 10° ≤ 2θ ≤ 80°, low angle first:
d_spacing	2theta	intensity
5.395	16.43	11
4.562	19.46	57
2.927	30.55	100
2.698	33.21	49
1.958	46.38	45
1.907	47.68	37
1.760	51.96	14
1.598	57.69	31
1.366	68.70	25
1.325	71.17	17

Atomic structure:
```
data_MnTcNi2O6
_chemical_formula_sum 'Mn1 Tc1 Ni2 O6'
_cell_length_a 5.395
_cell_length_b 5.395
_cell_length_c 4.562
_cell_angle_alpha 90.00
_cell_angle_beta 90.00
_cell_angle_gamma 90.00
_space_group_name_H-M_alt 'P 1'
_space_group_IT_number 1
loop_
_space_group_symop_operation_xyz
'x,y,z'
loop_
_atom_site_label
_atom_site_type_symbol
_atom_site_fract_x
_atom_site_fract_y
_atom_site_fract_z
Mn1 Mn 0.000 0.000 0.000
Tc1 Tc 0.500 0.500 0.005
Ni1 Ni 0.000 0.500 0.319
Ni2 Ni 0.500 0.000 0.319
O1 O 0.000 0.000 0.585
O2 O 0.263 0.263 0.157
O3 O 0.263 0.737 0.157
O4 O 0.500 0.500 0.632
O5 O 0.737 0.263 0.157
O6 O 0.737 0.737 0.157
```

For Mn3Ni3Te2O16, a structure optimized by DFT (GGA+U) gives the calculated PXRD pattern in this record (Cu Kα (λ = 1.5418 Å)).
Intensities are scaled so that the largest is 100.

Principal peaks in the range 10° ≤ 2θ ≤ 80°, low angle first:
d_spacing	2theta	intensity
4.570	19.42	55
4.472	19.85	68
4.400	20.18	100
3.433	25.95	24
2.593	34.59	22
2.523	35.59	29
2.456	36.58	49
2.444	36.77	42
1.930	47.09	24
1.476	62.96	30

Atomic structure:
```
data_Mn3Ni3Te2O16
_chemical_formula_sum 'Mn3 Ni3 Te2 O16'
_cell_length_a 5.910
_cell_length_b 5.910
_cell_length_c 9.172
_cell_angle_alpha 92.04
_cell_angle_beta 92.04
_cell_angle_gamma 59.04
_space_group_name_H-M_alt 'P 1'
_space_group_IT_number 1
loop_
_space_group_symop_operation_xyz
'x,y,z'
loop_
_atom_site_label
_atom_site_type_symbol
_atom_site_fract_x
_atom_site_fract_y
_atom_site_fract_z
Mn1 Mn 0.000 0.000 0.000
Mn2 Mn 0.333 0.830 0.502
Mn3 Mn 0.830 0.333 0.502
Ni1 Ni 0.336 0.336 0.502
Ni2 Ni 0.504 0.999 0.003
Ni3 Ni 0.999 0.504 0.003
Te1 Te 0.496 0.496 0.222
Te2 Te 0.833 0.833 0.727
O1 O 0.137 0.700 0.866
O2 O 0.158 0.158 0.408
O3 O 0.163 0.163 0.910
O4 O 0.206 0.662 0.366
O5 O 0.328 0.328 0.122
O6 O 0.336 0.820 0.115
O7 O 0.504 0.996 0.618
O8 O 0.511 0.511 0.606
O9 O 0.647 0.647 0.377
O10 O 0.662 0.206 0.366
O11 O 0.691 0.691 0.869
O12 O 0.700 0.137 0.866
O13 O 0.820 0.336 0.115
O14 O 0.840 0.840 0.099
O15 O 0.996 0.504 0.618
O16 O 0.996 0.996 0.610
```

For MnV4NiO12, a structure optimized by DFT (GGA+U) gives the calculated PXRD pattern in this record (Cu Kα (λ = 1.5418 Å)).
Intensities are scaled so that the largest is 100.

Principal peaks in the range 10° ≤ 2θ ≤ 80°, low angle first:
d_spacing	2theta	intensity
6.611	13.39	22
4.873	18.20	46
4.590	19.34	49
3.800	23.41	24
3.208	27.81	100
3.002	29.76	62
2.761	32.43	44
2.570	34.92	26
2.043	44.34	24
1.697	54.02	19

Atomic structure:
```
data_MnV4NiO12
_chemical_formula_sum 'Mn1 V4 Ni1 O12'
_cell_length_a 6.862
_cell_length_b 6.862
_cell_length_c 5.911
_cell_angle_alpha 105.39
_cell_angle_beta 105.39
_cell_angle_gamma 83.97
_space_group_name_H-M_alt 'P 1'
_space_group_IT_number 1
loop_
_space_group_symop_operation_xyz
'x,y,z'
loop_
_atom_site_label
_atom_site_type_symbol
_atom_site_fract_x
_atom_site_fract_y
_atom_site_fract_z
Mn1 Mn 0.000 0.000 0.000
V1 V 0.121 0.470 0.001
V2 V 0.303 0.294 0.508
V3 V 0.530 0.879 0.999
V4 V 0.706 0.697 0.492
Ni1 Ni 0.828 0.172 0.500
O1 O 0.000 0.697 0.019
O2 O 0.111 0.126 0.401
O3 O 0.261 0.452 0.299
O4 O 0.286 0.442 0.803
O5 O 0.303 0.000 0.981
O6 O 0.533 0.180 0.527
O7 O 0.548 0.739 0.701
O8 O 0.558 0.714 0.197
O9 O 0.722 0.047 0.124
O10 O 0.820 0.467 0.473
O11 O 0.874 0.889 0.599
O12 O 0.953 0.278 0.876
```

For Y5Mn3Ni3O18, a structure optimized by DFT (GGA+U) gives the calculated PXRD pattern in this record (Cu Kα (λ = 1.5418 Å)).
Intensities are scaled so that the largest is 100.

Principal peaks in the range 10° ≤ 2θ ≤ 80°, low angle first:
d_spacing	2theta	intensity
3.412	26.12	32
2.777	32.24	41
2.692	33.28	100
2.682	33.42	100
2.637	34.00	49
1.912	47.56	48
1.888	48.20	35
1.702	53.88	26
1.535	60.31	25
1.529	60.57	23

Atomic structure:
```
data_Y5Mn3Ni3O18
_chemical_formula_sum 'Y10 Mn6 Ni6 O36'
_cell_length_a 7.553
_cell_length_b 5.553
_cell_length_c 17.493
_cell_angle_alpha 90.00
_cell_angle_beta 115.27
_cell_angle_gamma 90.00
_space_group_name_H-M_alt 'P 1'
_space_group_IT_number 1
loop_
_space_group_symop_operation_xyz
'x,y,z'
loop_
_atom_site_label
_atom_site_type_symbol
_atom_site_fract_x
_atom_site_fract_y
_atom_site_fract_z
Y1 Y 0.000 0.168 0.000
Y2 Y 0.000 0.832 0.500
Y3 Y 0.182 0.316 0.680
Y4 Y 0.182 0.684 0.180
Y5 Y 0.336 0.188 0.337
Y6 Y 0.336 0.812 0.837
Y7 Y 0.662 0.180 0.663
Y8 Y 0.662 0.820 0.163
Y9 Y 0.845 0.321 0.344
Y10 Y 0.845 0.679 0.844
Mn1 Mn 0.261 0.277 0.506
Mn2 Mn 0.261 0.723 0.006
Mn3 Mn 0.590 0.248 0.842
Mn4 Mn 0.590 0.752 0.342
Mn5 Mn 0.917 0.256 0.169
Mn6 Mn 0.917 0.744 0.669
Ni1 Ni 0.092 0.246 0.841
Ni2 Ni 0.092 0.754 0.341
Ni3 Ni 0.424 0.253 0.170
Ni4 Ni 0.424 0.747 0.670
Ni5 Ni 0.754 0.274 0.507
Ni6 Ni 0.754 0.726 0.007
O1 O 0.043 0.037 0.738
O2 O 0.043 0.229 0.539
O3 O 0.043 0.771 0.039
O4 O 0.043 0.963 0.238
O5 O 0.074 0.441 0.273
O6 O 0.074 0.559 0.773
O7 O 0.110 0.069 0.407
O8 O 0.110 0.931 0.907
O9 O 0.122 0.454 0.939
O10 O 0.122 0.546 0.439
O11 O 0.134 0.282 0.138
O12 O 0.134 0.718 0.638
O13 O 0.359 0.017 0.072
O14 O 0.359 0.983 0.572
O15 O 0.372 0.215 0.865
O16 O 0.372 0.785 0.365
O17 O 0.396 0.430 0.613
O18 O 0.396 0.570 0.113
O19 O 0.440 0.045 0.741
O20 O 0.440 0.955 0.241
O21 O 0.471 0.281 0.476
O22 O 0.471 0.719 0.976
O23 O 0.475 0.459 0.277
O24 O 0.475 0.541 0.777
O25 O 0.708 0.050 0.404
O26 O 0.708 0.950 0.904
O27 O 0.711 0.218 0.205
O28 O 0.711 0.782 0.705
O29 O 0.751 0.444 0.934
O30 O 0.751 0.556 0.434
O31 O 0.792 0.043 0.079
O32 O 0.792 0.957 0.579
O33 O 0.798 0.275 0.803
O34 O 0.798 0.725 0.303
O35 O 0.836 0.437 0.618
O36 O 0.836 0.563 0.118
```

For Mn4Zn3Ni2O12, a structure optimized by DFT (GGA+U) gives the calculated PXRD pattern in this record (Cu Kα (λ = 1.5418 Å)).
Intensities are scaled so that the largest is 100.

Principal peaks in the range 10° ≤ 2θ ≤ 80°, low angle first:
d_spacing	2theta	intensity
2.999	29.79	93
2.571	34.89	48
2.562	35.03	100
2.549	35.20	45
2.538	35.37	55
2.529	35.50	55
1.641	56.03	30
1.621	56.79	23
1.501	61.80	64
1.497	61.98	42

Atomic structure:
```
data_Mn4Zn3Ni2O12
_chemical_formula_sum 'Mn8 Zn6 Ni4 O24'
_cell_length_a 6.005
_cell_length_b 6.005
_cell_length_c 13.238
_cell_angle_alpha 102.38
_cell_angle_beta 102.38
_cell_angle_gamma 90.58
_space_group_name_H-M_alt 'P 1'
_space_group_IT_number 1
loop_
_space_group_symop_operation_xyz
'x,y,z'
loop_
_atom_site_label
_atom_site_type_symbol
_atom_site_fract_x
_atom_site_fract_y
_atom_site_fract_z
Mn1 Mn 0.000 0.000 0.000
Mn2 Mn 0.000 0.000 0.500
Mn3 Mn 0.000 0.500 0.000
Mn4 Mn 0.330 0.343 0.666
Mn5 Mn 0.343 0.330 0.166
Mn6 Mn 0.500 0.000 0.500
Mn7 Mn 0.657 0.670 0.834
Mn8 Mn 0.670 0.657 0.334
Zn1 Zn 0.135 0.865 0.250
Zn2 Zn 0.201 0.478 0.417
Zn3 Zn 0.478 0.201 0.917
Zn4 Zn 0.522 0.799 0.083
Zn5 Zn 0.799 0.522 0.583
Zn6 Zn 0.865 0.135 0.750
Ni1 Ni 0.159 0.669 0.831
Ni2 Ni 0.331 0.841 0.669
Ni3 Ni 0.669 0.159 0.331
Ni4 Ni 0.841 0.331 0.169
O1 O 0.100 0.551 0.157
O2 O 0.103 0.104 0.163
O3 O 0.104 0.103 0.663
O4 O 0.113 0.576 0.671
O5 O 0.204 0.751 0.995
O6 O 0.249 0.796 0.505
O7 O 0.256 0.263 0.513
O8 O 0.263 0.256 0.013
O9 O 0.419 0.432 0.823
O10 O 0.424 0.887 0.829
O11 O 0.432 0.419 0.323
O12 O 0.449 0.900 0.343
O13 O 0.551 0.100 0.657
O14 O 0.568 0.581 0.677
O15 O 0.576 0.113 0.171
O16 O 0.581 0.568 0.177
O17 O 0.737 0.744 0.987
O18 O 0.744 0.737 0.487
O19 O 0.751 0.204 0.495
O20 O 0.796 0.249 0.005
O21 O 0.887 0.424 0.329
O22 O 0.896 0.897 0.337
O23 O 0.897 0.896 0.837
O24 O 0.900 0.449 0.843
```